For V2O3F, a structure optimized by DFT (PBE+U) gives the calculated X-ray diffraction stick pattern in this record (Cu Kα (λ = 1.5418 Å)).

Peak list (10 most intense, 2θ = 10–80°, most intense first)
two_theta  d [Å]  I_rel
27.8  3.209  100
35.3  2.542  93
26.0  3.430  93
54.2  1.693  56
52.1  1.755  51
67.5  1.388  37
39.7  2.269  28
61.3  1.513  25
41.0  2.201  19
57.4  1.604  16

Cell and atoms:
```
24
Lattice="12.1040 0.0000 0.0000 0.0000 3.2086 3.4300 0.0000 -3.2086 3.4300" Properties=species:S:1:pos:R:3 pbc="T T T"
V 0.0000 0.0000 0.0000
V 1.5148 0.0000 3.1181
V 3.0187 0.0000 6.2490
V 4.5404 0.0000 3.1383
V 6.0520 0.0000 6.2613
V 7.5637 0.0000 3.1383
V 9.0854 0.0000 6.2490
V 10.5893 0.0000 3.1181
O 0.0000 0.0000 1.7803
O 1.5092 -1.9745 3.1201
O 1.5092 1.9745 3.1201
O 3.0259 0.0000 4.4601
O 4.5348 -1.9706 3.0837
O 4.5348 1.9706 3.0837
O 6.0520 0.0000 4.4640
O 7.5692 -1.9706 3.0837
O 7.5692 1.9706 3.0837
O 9.0782 0.0000 4.4601
O 10.5948 -1.9745 3.1201
O 10.5948 1.9745 3.1201
F 0.0000 0.0000 4.4994
F 3.0264 0.0000 1.7293
F 6.0520 0.0000 1.7225
F 9.0776 0.0000 1.7293
```


For V6O11F, a structure optimized by DFT (PBE+U) gives the calculated X-ray diffraction stick pattern in this record (Cu Kα (λ = 1.5418 Å)).

Peak list (10 most intense, 2θ = 10–80°, most intense first)
two_theta  d [Å]  I_rel
27.7  3.217  100
26.8  3.332  98
35.8  2.511  95
54.4  1.686  56
53.3  1.718  54
68.4  1.371  39
40.5  2.225  20
41.2  2.190  19
57.3  1.609  18
62.1  1.495  16

Cell and atoms:
```
18
Lattice="8.9684 0.0000 0.0000 0.0000 3.2172 3.3319 0.0000 -3.2172 3.3319" Properties=species:S:1:pos:R:3 pbc="T T T"
V 0.0000 0.0000 0.0000
V 1.5075 0.0000 3.5136
V 2.8611 0.0000 0.1516
V 4.4842 0.0000 3.1394
V 6.1073 0.0000 0.1516
V 7.4609 0.0000 3.5136
O 0.0000 -1.2443 3.3449
O 0.0000 1.2443 3.3449
O 1.5449 0.0000 5.3540
O 1.5834 0.0000 1.3665
O 3.0139 -1.2634 3.3439
O 3.0139 1.2634 3.3439
O 4.4842 0.0000 1.3212
O 5.9545 -1.2634 3.3439
O 5.9545 1.2634 3.3439
O 7.3850 0.0000 1.3665
O 7.4234 0.0000 5.3540
F 4.4842 0.0000 5.4133
```


For V2OF5, a structure optimized by DFT (PBE+U) gives the calculated X-ray diffraction stick pattern in this record (Cu Kα (λ = 1.5418 Å)).

Peak list (10 most intense, 2θ = 10–80°, most intense first)
two_theta  d [Å]  I_rel
23.5  3.790  100
48.0  1.895  22
53.5  1.714  21
39.5  2.280  14
54.7  1.677  12
33.0  2.717  12
76.3  1.249  6
60.6  1.527  6
33.9  2.645  6
69.1  1.358  6

Cell and atoms:
```
24
Lattice="5.2898 0.0000 0.0000 -2.6449 4.5811 0.0000 0.0000 0.0000 13.4982" Properties=species:S:1:pos:R:3 pbc="T T T"
V -1.7875 3.1722 0.0000
V 0.7915 1.4470 4.4994
V 0.9060 1.4715 11.3520
V 3.5625 0.0489 2.3532
V 0.9960 4.5431 8.9988
V 3.4663 3.0608 6.8526
O -0.1759 0.5313 3.4660
O -2.0968 4.4677 12.4648
O 2.2727 4.1632 7.9654
F -0.6751 1.1848 10.1978
F -0.6242 1.8717 5.7823
F -1.2813 4.5734 5.6984
F -0.1416 2.6237 12.5585
F -0.3019 3.3919 8.0591
F -0.7119 4.1859 1.2829
F 2.0284 0.3939 10.1548
F 0.4435 3.1466 3.5597
F 1.3361 3.1047 10.2817
F 2.4557 1.2459 3.4711
F 1.9718 2.6276 5.6554
F 2.4960 1.8315 12.4699
F 2.9830 1.5038 7.9705
F 1.9564 3.4041 1.1990
F 3.9345 1.5597 1.1560
```


For V2O3F, a structure optimized by DFT (PBE+U) gives the calculated X-ray diffraction stick pattern in this record (Cu Kα (λ = 1.5418 Å)).

Peak list (10 most intense, 2θ = 10–80°, most intense first)
two_theta  d [Å]  I_rel
27.8  3.208  100
35.3  2.542  94
26.1  3.413  92
54.2  1.693  56
52.3  1.750  52
67.6  1.386  38
39.8  2.266  27
41.0  2.203  21
61.2  1.515  18
57.5  1.604  16

Cell and atoms:
```
24
Lattice="4.4136 -3.4128 0.0000 4.4136 3.4128 0.0000 -0.5045 0.0000 8.8085" Properties=species:S:1:pos:R:3 pbc="T T T"
V 0.0000 0.0000 0.0000
V 0.7878 -0.2807 5.5070
V 2.0838 0.0051 2.2077
V 2.8691 -0.2914 7.7065
V 4.1613 -0.5614 4.4043
V 5.4535 -0.2914 1.1020
V 6.2389 0.0051 6.6008
V 7.5348 -0.2807 3.3015
O 3.7641 3.1410 6.8572
O 4.5585 3.1410 1.9513
O 1.9463 -0.2432 0.2539
O 2.2247 -0.2784 4.1535
O 1.8365 -1.6089 6.6028
O 4.0222 -0.2492 2.4594
O 4.3005 -0.2492 6.3491
O 4.4136 -1.6188 0.0000
O 6.0979 -0.2784 4.6550
O 6.3764 -0.2432 8.5546
O 4.1613 -2.3560 4.4043
O 6.4861 -1.6089 2.2057
F 1.8185 1.1182 6.6138
F 4.1613 1.7487 4.4043
F 4.4136 1.1149 0.0000
F 6.5042 1.1182 2.1947
```


For VOF2, a structure optimized by DFT (PBE+U) gives the calculated X-ray diffraction stick pattern in this record (Cu Kα (λ = 1.5418 Å)).

Peak list (10 most intense, 2θ = 10–80°, most intense first)
two_theta  d [Å]  I_rel
23.6  3.777  100
48.2  1.889  23
53.8  1.703  19
54.8  1.676  12
33.2  2.697  11
39.6  2.274  10
33.9  2.645  6
69.7  1.349  6
76.3  1.248  5
60.2  1.537  5

Cell and atoms:
```
24
Lattice="5.2907 0.0000 0.0000 -2.6453 4.5818 0.0000 0.0000 0.0000 13.3475" Properties=species:S:1:pos:R:3 pbc="T T T"
V -1.6520 2.8803 0.0000
V -1.7203 3.1054 6.6731
V 0.8161 1.5393 11.1223
V 0.9769 1.7111 4.4491
V 0.6750 4.5723 8.8983
V 0.9042 4.5190 2.2240
O -0.1911 2.4716 12.1189
O -0.4093 3.5115 7.6697
O 2.0877 0.4129 9.9496
O 0.6004 3.1806 3.2206
O 1.9590 2.5674 5.5004
O 3.8892 1.6016 1.0513
F -0.5618 1.0614 9.8091
F -0.1697 0.5589 3.1940
F -0.7086 1.9307 5.4409
F -2.0764 4.4493 12.0923
F -1.4452 4.5377 5.3599
F -0.6189 4.2302 0.9917
F 1.3276 3.0028 9.8900
F 2.4333 1.1984 3.2305
F 2.4665 1.8753 12.1288
F 3.0361 1.5081 7.6796
F 2.0070 3.5646 0.9108
F 2.2461 4.1554 7.6431
```


For V6O7F5, a structure optimized by DFT (PBE+U) gives the calculated X-ray diffraction stick pattern in this record (Cu Kα (λ = 1.5418 Å)).

Peak list (10 most intense, 2θ = 10–80°, most intense first)
two_theta  d [Å]  I_rel
27.5  3.249  100
26.2  3.399  100
34.7  2.584  97
53.4  1.717  55
66.9  1.398  33
52.0  1.757  32
51.9  1.763  30
67.1  1.396  22
40.2  2.241  22
54.0  1.699  20

Cell and atoms:
```
18
Lattice="4.6048 -3.2486 0.0000 4.6048 3.2486 0.0000 -2.9443 0.0000 6.8534" Properties=species:S:1:pos:R:3 pbc="T T T"
V 0.0000 0.0000 0.0000
V 1.9103 0.0075 2.3342
V 0.6743 0.0088 5.6137
V 5.5911 0.0088 1.2397
V 4.3550 0.0075 4.5192
V 3.1327 -3.0384 3.4267
O 0.7148 1.9819 5.7739
O 0.5043 0.0409 3.6894
O 5.5505 1.9819 1.0795
O 0.6729 -1.9687 5.7653
O 3.1327 -1.1340 3.4267
O 5.7610 0.0409 3.1640
O 5.5924 -1.9687 1.0881
F -1.4158 0.0478 5.4931
F 3.1327 1.3848 3.4267
F 3.5502 0.0150 0.8861
F 2.7151 0.0150 5.9673
F 7.6811 0.0478 1.3603
```